Theoretical X-ray diffraction stick pattern
Compound: Dy2Al4SiAu3
Radiation: Cu Kα, 1.54184 Å
Structure: a DFT-relaxed cell (PBE, Alexandria)

Cell and atoms:
```
10
Lattice="4.2290 0.0000 0.0000 0.0000 4.2290 0.0000 0.0000 0.0000 10.8421" Properties=species:S:1:pos:R:3 pbc="T T T"
Dy 0.0000 2.1145 2.6403
Dy 2.1145 0.0000 8.2018
Al 0.0000 0.0000 5.4211
Al 0.0000 2.1145 9.3686
Al 2.1145 0.0000 1.4735
Al 2.1145 2.1145 5.4211
Si 2.1145 2.1145 0.0000
Au 0.0000 0.0000 0.0000
Au 0.0000 2.1145 6.9219
Au 2.1145 0.0000 3.9203
```

Top 12 peaks for 10 to 90 degrees two-theta, by angle:
| (hkl) | d (Å) | Position (°2θ) | I (rel.) |
| --- | --- | --- | --- |
| 0 0 3 | 3.614 | 24.6 | 22.9 |
| 1 0 2 | 3.334 | 26.7 | 65.6 |
| 1 1 0 | 2.990 | 29.9 | 37.5 |
| 1 1 1 | 2.883 | 31.0 | 40.9 |
| 1 0 3 | 2.747 | 32.6 | 82.7 |
| 1 1 2 | 2.618 | 34.2 | 100.0 |
| 2 0 0 | 2.114 | 42.8 | 66.1 |
| 1 0 5 | 1.930 | 47.1 | 51.4 |
| 2 1 2 | 1.786 | 51.2 | 23.3 |
| 2 1 3 | 1.676 | 54.8 | 38.3 |
| 2 1 5 | 1.425 | 65.5 | 38.6 |
| 3 1 2 | 1.298 | 72.8 | 22.6 |